Starting from DFT lattice parameters and positions (GGA-PBE), the XRD peak list of Pu3PaMn was calculated for copper Kα.
Kinematic intensities with the Lorentz-polarization factor, no thermal factor.

Structure:
abc: 5.0125 5.0125 5.0125
angles: 90.00 90.00 90.00
Space group Pm-3m (No. 221)
Symmetry-distinct sites (fractional):
Pu 0.0000 0.0000 0.5000 [3 per cell]
Pa 0.5000 0.5000 0.5000 [1 per cell]
Mn 0.0000 0.0000 0.0000 [1 per cell]

The 10 most intense peaks (2θ from 10° to 90°), by angle:
2θ 17.69, d = 5.013 Å, I 2, hkl 1 0 0; 2θ 25.12, d = 3.544 Å, I 1, hkl 1 1 0; 2θ 30.90, d = 2.894 Å, I 100, hkl 1 1 1; 2θ 35.83, d = 2.506 Å, I 65, hkl 2 0 0; 2θ 51.57, d = 1.772 Å, I 47, hkl 2 2 0; 2θ 61.34, d = 1.511 Å, I 45, hkl 3 1 1; 2θ 64.39, d = 1.447 Å, I 16, hkl 2 2 2; 2θ 75.93, d = 1.253 Å, I 8, hkl 4 0 0; 2θ 84.19, d = 1.150 Å, I 20, hkl 3 3 1; 2θ 86.91, d = 1.121 Å, I 23, hkl 4 2 0

---

Starting from DFT lattice parameters and positions (GGA-PBE), the XRD peak list of RbPaMnS4 was calculated for copper Kα.
Kinematic intensities with the Lorentz-polarization factor, no thermal factor.

Structure:
abc: 7.8622 8.5287 11.8648
angles: 90.00 90.00 90.00
Space group Imma (No. 74)
Symmetry-distinct sites (fractional):
Rb 0.0000 0.2500 0.1645 [4 per cell]
Pa 0.0000 0.0000 0.5000 [4 per cell]
Mn 0.2500 0.2500 0.7500 [4 per cell]
S 0.0000 0.0630 0.7190 [8 per cell]
S 0.2085 0.2500 0.5035 [8 per cell]

The 10 most intense peaks (2θ from 10° to 90°), by angle:
2θ 13.51, d = 6.554 Å, I 100, hkl 1 0 1; 2θ 22.62, d = 3.931 Å, I 24, hkl 2 0 0; 2θ 24.91, d = 3.575 Å, I 78, hkl 1 2 1; 2θ 25.21, d = 3.533 Å, I 45, hkl 1 0 3; 2θ 25.73, d = 3.463 Å, I 22, hkl 0 2 2; 2θ 30.94, d = 2.890 Å, I 29, hkl 2 2 0; 2θ 34.52, d = 2.598 Å, I 24, hkl 2 2 2; 2θ 41.14, d = 2.194 Å, I 31, hkl 3 2 1; 2θ 43.73, d = 2.070 Å, I 42, hkl 2 2 4; 2θ 45.22, d = 2.005 Å, I 23, hkl 1 2 5